Entry 1:
Calculated powder XRD pattern of MgAl2Ga8 for CuKα, from a structure optimized by DFT (GGA-PBE).
Peak positions follow from Bragg's law for the DFT cell and can differ from measured ones.

Crystal structure
```
11
Lattice="4.164 0.000 0.000 0.112 6.494 0.000 1.891 2.169 7.436" Properties=species:S:1:pos:R:3 pbc="T T T"
Mg 0.000 0.000 0.000
Al 2.044 3.368 3.399
Al 4.123 5.295 4.037
Ga 1.965 4.691 6.005
Ga 2.065 7.252 4.689
Ga 2.126 5.889 2.085
Ga 2.090 2.037 0.717
Ga 4.077 6.627 6.720
Ga 4.041 2.775 5.351
Ga 4.102 1.412 2.747
Ga 4.202 3.973 1.431
```

Principal peaks in the range 2θ from 10° to 80°, in order of falling intensity:
2θ/deg  I/Imax
43.51  100
36.30  83
36.99  78
37.34  77
38.41  71
42.87  51
75.08  20
74.49  18
61.50  17
77.09  17

=====

Entry 2:
Calculated powder XRD pattern of Mg2Al3Ga2 for CuKα, from a structure optimized by DFT (GGA-PBE).
Peak positions follow from Bragg's law for the DFT cell and can differ from measured ones.

Crystal structure
```
7
Lattice="2.159 -10.052 0.000 2.159 10.052 0.000 0.000 0.000 2.928" Properties=species:S:1:pos:R:3 pbc="T T T"
Mg 2.159 7.059 0.000
Mg 2.159 -7.059 0.000
Al 0.000 0.000 0.000
Al 2.159 1.392 1.464
Al 2.159 -1.392 1.464
Ga 2.159 4.222 1.464
Ga 2.159 -4.222 1.464
```

Principal peaks in the range 2θ from 10° to 80°, in order of falling intensity:
2θ/deg  I/Imax
37.61  100
37.37  55
41.84  38
43.60  31
39.54  27
76.25  24
31.83  23
49.19  18
30.53  18
24.53  17

=====

Entry 3:
Calculated powder XRD pattern of Mg2Al2Ga for CuKα, from a structure optimized by DFT (GGA-PBE).
Peak positions follow from Bragg's law for the DFT cell and can differ from measured ones.

Crystal structure
```
5
Lattice="4.439 0.000 0.000 0.000 2.972 0.000 -2.118 0.000 7.198" Properties=species:S:1:pos:R:3 pbc="T T T"
Mg 0.040 0.000 1.568
Mg 2.282 0.000 5.630
Al 0.055 1.486 4.362
Al 2.266 1.486 2.836
Ga 2.220 1.486 0.000
```

Principal peaks in the range 2θ from 10° to 80°, in order of falling intensity:
2θ/deg  I/Imax
36.92  100
36.98  54
37.47  53
39.31  46
40.65  37
12.30  32
48.77  30
20.86  18
21.03  17
30.06  16